1.
This entry pairs a crystal structure of AcPrSm5Ho2 with its simulated powder XRD pattern. Radiation: a wavelength of 1.5418 Å. Structure: a GGA-PBE-relaxed structure.
Kinematic intensities with the Lorentz-polarization factor, no thermal factor.

Principal peaks in the range 2θ = 10–90°, most intense first:
2θ (°)	I (rel.)
31.90	100
30.84	56
32.64	38
29.11	32
43.71	21
26.96	17

Atomic structure:
```
AcPrSm5Ho2
1.0
2.807 -12.048 0.000
2.807 12.048 0.000
0.000 0.000 9.514
Ac Pr Sm Ho
2 2 10 4
direct
0.102 0.898 0.500
0.898 0.102 0.000
0.264 0.736 0.891
0.736 0.264 0.391
0.025 0.975 0.175
0.103 0.897 0.894
0.189 0.811 0.198
0.241 0.759 0.567
0.493 0.507 0.396
0.507 0.493 0.896
0.759 0.241 0.067
0.811 0.189 0.698
0.897 0.103 0.394
0.975 0.025 0.675
0.329 0.671 0.254
0.388 0.612 0.636
0.612 0.388 0.136
0.671 0.329 0.754
```

2.
This entry pairs a crystal structure of Ac2Pr5SmHo with its simulated powder XRD pattern. Radiation: a wavelength of 1.5418 Å. Structure: a GGA-PBE-relaxed structure.
Kinematic intensities with the Lorentz-polarization factor, no thermal factor.

Principal peaks in the range 2θ = 10–90°, most intense first:
2θ (°)	I (rel.)
30.83	100
30.44	39
29.05	36
54.34	21
26.75	15
58.76	14

Atomic structure:
```
Ac2Pr5SmHo
1.0
2.937 -10.492 0.000
2.937 10.492 0.000
0.000 0.000 10.984
Ac Pr Sm Ho
4 10 2 2
direct
0.114 0.886 0.500
0.117 0.883 0.081
0.883 0.117 0.581
0.886 0.114 0.000
0.018 0.982 0.786
0.281 0.719 0.079
0.293 0.707 0.468
0.384 0.616 0.786
0.485 0.515 0.510
0.515 0.485 0.010
0.616 0.384 0.286
0.707 0.293 0.968
0.719 0.281 0.579
0.982 0.018 0.286
0.406 0.594 0.235
0.594 0.406 0.735
0.205 0.795 0.775
0.795 0.205 0.275
```

3.
This entry pairs a crystal structure of AcTb2Pr4Ho with its simulated powder XRD pattern. Radiation: a wavelength of 1.5418 Å. Structure: a GGA-PBE-relaxed structure.
Kinematic intensities with the Lorentz-polarization factor, no thermal factor.

Principal peaks in the range 2θ = 10–90°, most intense first:
2θ (°)	I (rel.)
31.12	100
29.52	59
53.38	44
42.24	22
56.34	17
85.57	12

Atomic structure:
```
AcTb2Pr4Ho
1.0
6.052 0.000 0.000
0.000 6.052 0.000
0.000 0.000 7.759
Ac Tb Pr Ho
1 2 4 1
direct
0.000 0.000 0.000
0.000 0.000 0.500
0.500 0.500 0.000
0.000 0.500 0.269
0.000 0.500 0.731
0.500 0.000 0.269
0.500 0.000 0.731
0.500 0.500 0.500
```

4.
This entry pairs a crystal structure of AcTbPr3Ho with its simulated powder XRD pattern. Radiation: a wavelength of 1.5418 Å. Structure: a GGA-PBE-relaxed structure.
Kinematic intensities with the Lorentz-polarization factor, no thermal factor.

Principal peaks in the range 2θ = 10–90°, most intense first:
2θ (°)	I (rel.)
30.21	100
32.30	82
33.54	68
29.20	64
31.80	59
28.74	50

Atomic structure:
```
AcTbPr3Ho
1.0
10.484 -2.958 0.000
10.484 2.958 0.000
-0.172 0.000 7.108
Ac Tb Pr Ho
2 2 6 2
direct
0.148 0.148 0.034
0.852 0.852 0.966
0.442 0.442 0.705
0.558 0.558 0.295
0.016 0.016 0.743
0.281 0.281 0.719
0.341 0.341 0.253
0.659 0.659 0.747
0.719 0.719 0.281
0.984 0.984 0.257
0.141 0.141 0.491
0.859 0.859 0.509
```

5.
This entry pairs a crystal structure of AcTbPr2Ho4 with its simulated powder XRD pattern. Radiation: a wavelength of 1.5418 Å. Structure: a GGA-PBE-relaxed structure.
Kinematic intensities with the Lorentz-polarization factor, no thermal factor.

Principal peaks in the range 2θ = 10–90°, most intense first:
2θ (°)	I (rel.)
29.79	100
40.28	88
26.49	45
60.09	27
63.38	22
52.88	20

Atomic structure:
```
AcTbPr2Ho4
1.0
-3.462 5.999 6.730
3.462 -5.999 6.730
3.462 5.999 -6.730
Ac Tb Pr Ho
2 2 4 8
direct
0.000 0.000 0.000
0.500 0.000 0.500
0.500 0.000 0.000
0.500 0.500 0.500
0.000 0.000 0.500
0.000 0.500 0.000
0.000 0.500 0.500
0.500 0.500 0.000
0.247 0.742 0.505
0.255 0.268 0.512
0.255 0.743 0.988
0.263 0.258 0.005
0.737 0.742 0.995
0.745 0.257 0.012
0.745 0.732 0.488
0.753 0.258 0.495
```

6.
This entry pairs a crystal structure of AcPr2HoTm4 with its simulated powder XRD pattern. Radiation: a wavelength of 1.5418 Å. Structure: a GGA-PBE-relaxed structure.
Kinematic intensities with the Lorentz-polarization factor, no thermal factor.

Principal peaks in the range 2θ = 10–90°, most intense first:
2θ (°)	I (rel.)
29.95	100
40.45	88
26.55	45
60.40	27
63.60	22
53.17	20

Atomic structure:
```
AcPr2HoTm4
1.0
-3.446 5.967 6.714
3.446 -5.967 6.714
3.446 5.967 -6.714
Ac Pr Ho Tm
2 4 2 8
direct
0.000 0.000 0.000
0.500 0.000 0.500
0.000 0.500 0.500
0.500 0.000 0.000
0.500 0.500 0.000
0.500 0.500 0.500
0.000 0.000 0.500
0.000 0.500 0.000
0.235 0.742 0.493
0.244 0.257 0.512
0.244 0.732 0.988
0.252 0.258 0.993
0.748 0.742 0.007
0.756 0.268 0.012
0.756 0.743 0.488
0.765 0.258 0.507
```

7.
This entry pairs a crystal structure of AcHo2Pt with its simulated powder XRD pattern. Radiation: a wavelength of 1.5418 Å. Structure: a GGA-PBE-relaxed structure.
Kinematic intensities with the Lorentz-polarization factor, no thermal factor.

Principal peaks in the range 2θ = 10–90°, most intense first:
2θ (°)	I (rel.)
31.83	100
35.22	55
61.09	32
47.69	20
50.66	20
39.10	13

Atomic structure:
```
AcHo2Pt
1.0
3.604 0.000 0.000
0.000 3.604 0.000
0.000 0.000 8.989
Ac Ho Pt
1 2 1
direct
0.000 0.000 0.000
0.500 0.500 0.321
0.500 0.500 0.679
0.000 0.000 0.500
```

8.
This entry pairs a crystal structure of AcHoSi2Pt5 with its simulated powder XRD pattern. Radiation: a wavelength of 1.5418 Å. Structure: a GGA-PBE-relaxed structure.
Kinematic intensities with the Lorentz-polarization factor, no thermal factor.

Principal peaks in the range 2θ = 10–90°, most intense first:
2θ (°)	I (rel.)
34.07	100
38.27	54
66.52	30
28.78	25
50.17	20
55.24	19

Atomic structure:
```
AcHoSi2Pt5
1.0
4.703 0.000 0.000
0.000 4.703 0.000
0.000 0.000 8.604
Ac Ho Si Pt
1 1 2 5
direct
0.000 0.000 0.000
0.000 0.000 0.500
0.500 0.500 0.277
0.500 0.500 0.723
0.000 0.500 0.298
0.000 0.500 0.702
0.500 0.000 0.298
0.500 0.000 0.702
0.500 0.500 0.000
```